Record 1
The following is a calculated X-ray powder pattern of Fe2CuSb. It was derived from the GGA-PBE geometry in Alexandria, using Cu Kα (λ = 1.5418 Å).
Neutral-atom scattering factors, no anomalous dispersion.

Principal peaks in the range 10° ≤ 2θ ≤ 90°, sorted by position:
2θ 32.0, I 21
2θ 39.4, I 66
2θ 42.7, I 100
2θ 57.0, I 21
2θ 64.4, I 6
2θ 73.8, I 35
2θ 80.4, I 12
2θ 84.9, I 6

Structure:
Unit cell a=3.231 b=3.231 c=5.608 alpha=90.00 beta=90.00 gamma=90.00
Element x y z (fractional)
Fe: 0.000 0.000 0.000
Fe: 0.500 0.500 0.216
Cu: 0.500 0.500 0.773
Sb: 0.000 0.000 0.487

Record 2
The following is a calculated X-ray powder pattern of FeCuSe2. It was derived from the GGA-PBE geometry in Alexandria, using Cu Kα (λ = 1.5418 Å).
Neutral-atom scattering factors, no anomalous dispersion.

Principal peaks in the range 10° ≤ 2θ ≤ 90°, sorted by position:
2θ 16.2, I 21
2θ 28.1, I 100
2θ 36.3, I 12
2θ 46.6, I 69
2θ 47.0, I 33
2θ 54.9, I 15
2θ 55.7, I 27
2θ 87.1, I 20

Structure:
Unit cell a=5.465 b=5.465 c=5.560 alpha=90.00 beta=90.00 gamma=90.00
Element x y z (fractional)
Fe: 0.000 0.500 0.000
Fe: 0.500 0.000 0.000
Cu: 0.000 0.000 0.000
Cu: 0.000 0.000 0.500
Se: 0.263 0.263 0.744
Se: 0.263 0.737 0.256
Se: 0.737 0.263 0.256
Se: 0.737 0.737 0.744

Record 3
The following is a calculated X-ray powder pattern of FeCuSiSe. It was derived from the GGA-PBE geometry in Alexandria, using Cu Kα (λ = 1.5418 Å).
Neutral-atom scattering factors, no anomalous dispersion.

Principal peaks in the range 10° ≤ 2θ ≤ 90°, sorted by position:
2θ 28.0, I 82
2θ 29.7, I 25
2θ 32.9, I 75
2θ 38.3, I 75
2θ 43.7, I 58
2θ 45.3, I 31
2θ 48.3, I 43
2θ 51.4, I 100

Structure:
Unit cell a=2.722 b=3.767 c=6.007 alpha=90.00 beta=90.00 gamma=90.00
Element x y z (fractional)
Fe: 0.000 0.000 0.000
Cu: 0.000 0.500 0.348
Si: 0.500 0.500 0.017
Se: 0.000 0.000 0.600

Record 4
The following is a calculated X-ray powder pattern of FeCuSiSe. It was derived from the GGA-PBE geometry in Alexandria, using Cu Kα (λ = 1.5418 Å).
Neutral-atom scattering factors, no anomalous dispersion.

Principal peaks in the range 10° ≤ 2θ ≤ 90°, sorted by position:
2θ 26.5, I 88
2θ 31.2, I 78
2θ 33.8, I 98
2θ 45.4, I 100
2θ 45.6, I 41
2θ 48.1, I 35
2θ 50.0, I 88
2θ 50.9, I 39

Structure:
Unit cell a=12.128 b=2.721 c=3.663 alpha=90.00 beta=100.31 gamma=90.00
Element x y z (fractional)
Fe: 0.000 0.000 0.000
Fe: 0.500 0.500 0.000
Cu: 0.296 0.500 0.655
Cu: 0.796 0.000 0.655
Si: 0.445 0.000 0.466
Si: 0.945 0.500 0.466
Se: 0.160 0.500 0.078
Se: 0.660 0.000 0.078

Record 5
The following is a calculated X-ray powder pattern of Fe2Cu3Sn6Se16. It was derived from the GGA-PBE geometry in Alexandria, using Cu Kα (λ = 1.5418 Å).
Neutral-atom scattering factors, no anomalous dispersion.

Principal peaks in the range 10° ≤ 2θ ≤ 90°, sorted by position:
2θ 14.0, I 27
2θ 27.0, I 32
2θ 27.1, I 21
2θ 32.8, I 100
2θ 43.0, I 18
2θ 46.9, I 35
2θ 47.0, I 17
2θ 47.3, I 50

Structure:
Unit cell a=7.693 b=7.733 c=10.927 alpha=90.00 beta=90.71 gamma=90.00
Element x y z (fractional)
Fe: 0.000 0.000 0.000
Fe: 0.489 0.500 0.508
Cu: 0.239 0.000 0.624
Cu: 0.257 0.500 0.887
Cu: 0.756 0.000 0.382
Sn: 0.242 0.259 0.255
Sn: 0.242 0.741 0.255
Sn: 0.511 0.000 0.009
Sn: 0.749 0.250 0.758
Sn: 0.749 0.750 0.758
Sn: 0.990 0.500 0.498
Se: 0.002 0.000 0.775
Se: 0.003 0.500 0.753
Se: 0.233 0.228 0.005
Se: 0.233 0.772 0.005
Se: 0.264 0.272 0.507
Se: 0.264 0.728 0.507
Se: 0.494 0.000 0.755
Se: 0.495 0.000 0.259
Se: 0.495 0.500 0.288
Se: 0.497 0.500 0.736
Se: 0.719 0.271 0.506
Se: 0.719 0.729 0.506
Se: 0.784 0.224 0.005
Se: 0.784 0.776 0.005
Se: 0.981 0.500 0.248
Se: 0.997 0.000 0.231

Record 6
The following is a calculated X-ray powder pattern of Zn3Fe2Cu10Sn5Se20. It was derived from the GGA-PBE geometry in Alexandria, using Cu Kα (λ = 1.5418 Å).
Neutral-atom scattering factors, no anomalous dispersion.

Principal peaks in the range 10° ≤ 2θ ≤ 90°, sorted by position:
2θ 26.8, I 100
2θ 44.4, I 25
2θ 44.6, I 48
2θ 52.7, I 29
2θ 64.7, I 8
2θ 71.6, I 11
2θ 82.0, I 15
2θ 82.3, I 7

Structure:
Unit cell a=7.030 b=7.030 c=25.746 alpha=90.33 beta=90.33 gamma=48.40
Element x y z (fractional)
Zn: 0.000 0.000 0.000
Zn: 0.201 0.200 0.800
Zn: 0.800 0.799 0.200
Fe: 0.400 0.398 0.599
Fe: 0.602 0.600 0.401
Cu: 0.098 0.100 0.649
Cu: 0.101 0.098 0.150
Cu: 0.300 0.301 0.450
Cu: 0.301 0.299 0.950
Cu: 0.499 0.499 0.749
Cu: 0.501 0.501 0.251
Cu: 0.699 0.700 0.550
Cu: 0.701 0.699 0.050
Cu: 0.900 0.902 0.351
Cu: 0.902 0.899 0.850
Sn: 0.001 0.999 0.500
Sn: 0.201 0.200 0.301
Sn: 0.401 0.400 0.100
Sn: 0.600 0.599 0.900
Sn: 0.800 0.799 0.699
Se: 0.016 0.477 0.619
Se: 0.100 0.622 0.276
Se: 0.116 0.596 0.779
Se: 0.181 0.698 0.925
Se: 0.218 0.678 0.420
Se: 0.302 0.819 0.075
Se: 0.322 0.782 0.580
Se: 0.378 0.900 0.724
Se: 0.404 0.884 0.221
Se: 0.502 0.019 0.875
Se: 0.523 0.984 0.381
Se: 0.571 0.107 0.527
Se: 0.603 0.084 0.021
Se: 0.692 0.226 0.672
Se: 0.717 0.197 0.180
Se: 0.774 0.308 0.328
Se: 0.803 0.283 0.820
Se: 0.893 0.429 0.473
Se: 0.916 0.397 0.979
Se: 0.981 0.498 0.125

Record 7
The following is a calculated X-ray powder pattern of SrFe4Cu2. It was derived from the GGA-PBE geometry in Alexandria, using Cu Kα (λ = 1.5418 Å).
Neutral-atom scattering factors, no anomalous dispersion.

Principal peaks in the range 10° ≤ 2θ ≤ 90°, sorted by position:
2θ 13.7, I 67
2θ 27.0, I 63
2θ 27.5, I 28
2θ 38.5, I 100
2θ 39.8, I 73
2θ 50.5, I 24
2θ 55.6, I 32
2θ 56.5, I 49

Structure:
Unit cell a=4.676 b=4.676 c=12.963 alpha=90.00 beta=90.00 gamma=90.00
Element x y z (fractional)
Sr: 0.000 0.000 0.000
Sr: 0.500 0.500 0.500
Fe: 0.000 0.000 0.230
Fe: 0.000 0.000 0.770
Fe: 0.000 0.500 0.000
Fe: 0.000 0.500 0.500
Fe: 0.500 0.000 0.000
Fe: 0.500 0.000 0.500
Fe: 0.500 0.500 0.270
Fe: 0.500 0.500 0.730
Cu: 0.000 0.000 0.409
Cu: 0.000 0.000 0.591
Cu: 0.500 0.500 0.091
Cu: 0.500 0.500 0.909

Record 8
The following is a calculated X-ray powder pattern of SrFe3Cu. It was derived from the GGA-PBE geometry in Alexandria, using Cu Kα (λ = 1.5418 Å).
Neutral-atom scattering factors, no anomalous dispersion.

Principal peaks in the range 10° ≤ 2θ ≤ 90°, sorted by position:
2θ 27.3, I 45
2θ 33.6, I 70
2θ 39.0, I 100
2θ 48.2, I 19
2θ 56.3, I 64
2θ 67.1, I 25
2θ 70.6, I 21
2θ 83.7, I 10

Structure:
Unit cell a=4.624 b=4.624 c=4.624 alpha=90.00 beta=90.00 gamma=90.00
Element x y z (fractional)
Sr: 0.000 0.000 0.000
Fe: 0.000 0.500 0.500
Fe: 0.500 0.000 0.500
Fe: 0.500 0.500 0.000
Cu: 0.500 0.500 0.500

Record 9
The following is a calculated X-ray powder pattern of Ta2FeCu. It was derived from the GGA-PBE geometry in Alexandria, using Cu Kα (λ = 1.5418 Å).
Neutral-atom scattering factors, no anomalous dispersion.

Principal peaks in the range 10° ≤ 2θ ≤ 90°, sorted by position:
2θ 24.3, I 41
2θ 31.9, I 20
2θ 39.9, I 100
2θ 40.6, I 99
2θ 43.0, I 42
2θ 47.4, I 28
2θ 49.9, I 28
2θ 68.0, I 21

Structure:
Unit cell a=2.881 b=3.656 c=5.625 alpha=90.00 beta=95.17 gamma=90.00
Element x y z (fractional)
Ta: 0.041 0.000 0.261
Ta: 0.959 0.000 0.739
Fe: 0.500 0.500 0.500
Cu: 0.500 0.500 0.000

Record 10
The following is a calculated X-ray powder pattern of TaFeCu2. It was derived from the GGA-PBE geometry in Alexandria, using Cu Kα (λ = 1.5418 Å).
Neutral-atom scattering factors, no anomalous dispersion.

Principal peaks in the range 10° ≤ 2θ ≤ 90°, sorted by position:
2θ 27.4, I 31
2θ 41.5, I 11
2θ 42.2, I 100
2θ 43.7, I 23
2θ 51.6, I 14
2θ 51.8, I 14
2θ 69.9, I 11
2θ 79.3, I 15

Structure:
Unit cell a=3.529 b=3.540 c=8.277 alpha=90.00 beta=90.00 gamma=90.00
Element x y z (fractional)
Ta: 0.000 0.000 0.000
Ta: 0.500 0.500 0.500
Fe: 0.000 0.000 0.500
Fe: 0.500 0.500 0.000
Cu: 0.000 0.500 0.250
Cu: 0.000 0.500 0.750
Cu: 0.500 0.000 0.250
Cu: 0.500 0.000 0.750

Record 11
The following is a calculated X-ray powder pattern of Ta3FeCu. It was derived from the GGA-PBE geometry in Alexandria, using Cu Kα (λ = 1.5418 Å).
Neutral-atom scattering factors, no anomalous dispersion.

Principal peaks in the range 10° ≤ 2θ ≤ 90°, sorted by position:
2θ 19.5, I 29
2θ 34.2, I 100
2θ 39.6, I 74
2θ 44.6, I 14
2θ 57.3, I 50
2θ 68.4, I 41
2θ 71.9, I 17
2θ 85.4, I 8

Structure:
Unit cell a=4.546 b=4.546 c=4.546 alpha=90.00 beta=90.00 gamma=90.00
Element x y z (fractional)
Ta: 0.000 0.000 0.500
Ta: 0.000 0.500 0.000
Ta: 0.500 0.000 0.000
Fe: 0.000 0.000 0.000
Cu: 0.500 0.500 0.500

Record 12
The following is a calculated X-ray powder pattern of TaFeCu2. It was derived from the GGA-PBE geometry in Alexandria, using Cu Kα (λ = 1.5418 Å).
Neutral-atom scattering factors, no anomalous dispersion.

Principal peaks in the range 10° ≤ 2θ ≤ 90°, sorted by position:
2θ 24.0, I 10
2θ 26.6, I 28
2θ 41.8, I 100
2θ 48.4, I 32
2θ 49.2, I 15
2θ 71.5, I 19
2θ 85.8, I 24
2θ 87.1, I 11

Structure:
Unit cell a=3.762 b=3.762 c=7.402 alpha=90.00 beta=90.00 gamma=90.00
Element x y z (fractional)
Ta: 0.000 0.000 0.000
Ta: 0.500 0.500 0.500
Fe: 0.000 0.500 0.250
Fe: 0.500 0.000 0.750
Cu: 0.000 0.000 0.500
Cu: 0.000 0.500 0.750
Cu: 0.500 0.000 0.250
Cu: 0.500 0.500 0.000

> Number 8 is which compound?

SrFe3Cu